Structure and calculated XRD peak list of Nd2Ho2Sb2C (the PBE geometry in Alexandria; Cu Kα (λ = 1.5418 Å)).
Neutral-atom scattering factors, no anomalous dispersion.

Top 6 peaks for 5° ≤ 2θ ≤ 70°, sorted by position:
| 2θ/deg | d_spacing | Rel. int. |
| --- | --- | --- |
| 28.6 | 3.119 | 744 |
| 32.9 | 2.725 | 293 |
| 34.5 | 2.602 | 1000 |
| 37.7 | 2.386 | 579 |
| 50.9 | 1.795 | 341 |
| 66.0 | 1.416 | 304 |

Atomic structure:
```
Nd2Ho2Sb2C
1.0
-2.386 2.386 8.174
2.386 -2.386 8.174
2.386 2.386 -8.174
Nd Ho Sb C
2 2 2 1
direct
0.163 0.163 0.000
0.837 0.837 0.000
0.000 0.500 0.500
0.500 0.000 0.500
0.363 0.363 0.000
0.637 0.637 0.000
0.000 0.000 0.000
```